# Ta4BeFe
Theoretical PXRD pattern, Cu Kα (weighted mean of Kα1 and Kα2). Input: a structure optimized by DFT (GGA-PBE).

Largest 12 diffraction maxima, sorted by position, 2θ from 15° to 90°:
2θ = 29.05°, d = 3.073 Å, I = 11, (2 0 0)
2θ = 37.05°, d = 2.426 Å, I = 18, (0 0 2)
2θ = 37.60°, d = 2.392 Å, I = 100, (2 1 1)
2θ = 42.68°, d = 2.119 Å, I = 8, (1 1 2)
2θ = 46.73°, d = 1.944 Å, I = 17, (3 1 0)
2θ = 47.76°, d = 1.904 Å, I = 13, (2 0 2)
2θ = 61.08°, d = 1.517 Å, I = 8, (3 1 2)
2θ = 64.29°, d = 1.449 Å, I = 7, (3 3 0)
2θ = 65.50°, d = 1.425 Å, I = 16, (4 1 1)
2θ = 67.14°, d = 1.394 Å, I = 19, (2 1 3)
2θ = 76.59°, d = 1.244 Å, I = 13, (3 3 2)
2θ = 87.87°, d = 1.111 Å, I = 11, (5 2 1)

Structure:
```
data_Ta4BeFe
_chemical_formula_sum 'Ta8 Be2 Fe2'
_cell_length_a 6.1469
_cell_length_b 6.1469
_cell_length_c 4.8529
_cell_angle_alpha 90.00
_cell_angle_beta 90.00
_cell_angle_gamma 90.00
_symmetry_space_group_name_H-M 'I 4 2 2'
_symmetry_Int_Tables_number 97
_symmetry_space_group_name_Hall 'I 4 2'
loop_
_atom_site_label
_atom_site_type_symbol
_atom_site_fract_x
_atom_site_fract_y
_atom_site_fract_z
Ta1 Ta 0.1623 0.3377 0.2500
Be1 Be 0.0000 0.0000 0.0000
Fe1 Fe 0.0000 0.0000 0.5000
```